Simulated PXRD pattern of Tb3Nd7Er for Cu Kα X-rays, from the GGA-PBE geometry in Alexandria.
Kinematic intensities with the Lorentz-polarization factor, no thermal factor.

Structure:
Cell lengths 7.199, 10.334, 12.545 Å; angles 66.34, 73.36, 69.63 degrees
Sites, in units of the cell vectors:
Tb: 0.000 0.000 0.000
Tb: 0.000 0.500 0.500
Tb: 0.328 0.067 0.273
Tb: 0.331 0.567 0.773
Tb: 0.669 0.433 0.227
Tb: 0.672 0.933 0.727
Nd: 0.084 0.807 0.528
Nd: 0.088 0.307 0.025
Nd: 0.157 0.454 0.227
Nd: 0.163 0.955 0.727
Nd: 0.287 0.750 0.250
Nd: 0.419 0.693 0.972
Nd: 0.420 0.193 0.475
Nd: 0.580 0.807 0.525
Nd: 0.581 0.307 0.028
Nd: 0.713 0.250 0.750
Nd: 0.837 0.045 0.273
Nd: 0.843 0.546 0.773
Nd: 0.912 0.693 0.975
Nd: 0.916 0.193 0.472
Er: 0.500 0.000 0.000
Er: 0.500 0.500 0.500

Top 6 peaks for 2θ from 15° to 90°, most intense first:
- hkl 0 0 4, 2θ 31.64, rel. 100.0
- hkl 2 0 -2, 2θ 33.52, rel. 53.1
- hkl 0 3 3, 2θ 30.95, rel. 50.6
- hkl 0 3 -1, 2θ 32.95, rel. 31.1
- hkl 2 3 -3, 2θ 50.13, rel. 25.9
- hkl 2 0 2, 2θ 28.72, rel. 21.6